Record 1
This entry pairs a crystal structure of Er3CdHg with its theoretical powder XRD pattern. Radiation: a wavelength of 1.5418 Å. Structure: a structure optimized by DFT (GGA-PBE).
Neutral-atom scattering factors, no anomalous dispersion.

Principal peaks in the range 10 to 80 degrees two-theta, low angle first:
| 2θ/deg | intensity | h k l |
| --- | --- | --- |
| 33.14 | 100 | 1 5 1 |
| 34.94 | 46 | 2 0 0 |
| 39.85 | 4 | 1 7 1 |
| 44.77 | 9 | 0 10 0 |
| 50.25 | 17 | 2 0 2 |
| 58.01 | 16 | 2 10 0 |
| 61.52 | 34 | 3 5 1 |
| 69.55 | 10 | 2 10 2 |
| 73.80 | 5 | 4 0 0 |
| 75.09 | 5 | 1 15 1 |

```
data_Er3CdHg
_symmetry_space_group_name_H-M 'C m c m'
_symmetry_Int_Tables_number 63
_symmetry_space_group_name_Hall '-C 2c 2'
_cell_length_a 5.1364
_cell_length_b 20.2445
_cell_length_c 5.1349
_cell_angle_alpha 90.00
_cell_angle_beta 90.00
_cell_angle_gamma 90.00
loop_
_atom_site_label
_atom_site_type_symbol
_atom_site_fract_x
_atom_site_fract_y
_atom_site_fract_z
Er1 Er 0.0000 0.0597 0.2500
Er2 Er 0.0000 0.2496 0.2500
Er3 Er 0.0000 0.4383 0.2500
Cd1 Cd 0.0000 0.1553 0.7500
Hg1 Hg 0.0000 0.3420 0.7500
```

***

Record 2
This entry pairs a crystal structure of ErCd2Hg5 with its theoretical powder XRD pattern. Radiation: a wavelength of 1.5418 Å. Structure: a structure optimized by DFT (GGA-PBE).
Neutral-atom scattering factors, no anomalous dispersion.

Principal peaks in the range 10 to 80 degrees two-theta, low angle first:
| 2θ/deg | intensity | h k l |
| --- | --- | --- |
| 16.89 | 3 | 1 1 0 |
| 23.98 | 3 | 2 0 0 |
| 34.17 | 54 | 2 2 0 |
| 35.08 | 100 | 2 0 2 |
| 49.09 | 19 | 4 0 0 |
| 51.79 | 8 | 0 0 4 |
| 61.76 | 39 | 4 2 2 |
| 63.52 | 18 | 2 2 4 |
| 71.96 | 6 | 4 4 0 |
| 74.14 | 12 | 4 0 4 |

```
data_ErCd2Hg5
_symmetry_space_group_name_H-M 'I 4 m m'
_symmetry_Int_Tables_number 107
_symmetry_space_group_name_Hall 'I 4 -2'
_cell_length_a 7.4227
_cell_length_b 7.4227
_cell_length_c 7.0609
_cell_angle_alpha 90.00
_cell_angle_beta 90.00
_cell_angle_gamma 90.00
loop_
_atom_site_label
_atom_site_type_symbol
_atom_site_fract_x
_atom_site_fract_y
_atom_site_fract_z
Er1 Er 0.0000 0.0000 0.0000
Cd1 Cd 0.0000 0.5000 0.0007
Hg1 Hg 0.0000 0.0000 0.5014
Hg2 Hg 0.2497 0.2497 0.2507
```

***

Record 3
This entry pairs a crystal structure of ErCd2Hg3 with its theoretical powder XRD pattern. Radiation: a wavelength of 1.5418 Å. Structure: a structure optimized by DFT (GGA-PBE).
Neutral-atom scattering factors, no anomalous dispersion.

Principal peaks in the range 10 to 80 degrees two-theta, low angle first:
| 2θ/deg | intensity | h k l |
| --- | --- | --- |
| 34.36 | 100 | 1 3 1 |
| 35.62 | 22 | 0 6 0 |
| 36.98 | 21 | 2 0 0 |
| 46.35 | 11 | 0 0 2 |
| 52.29 | 15 | 2 6 0 |
| 59.79 | 10 | 0 6 2 |
| 60.72 | 10 | 2 0 2 |
| 63.18 | 16 | 1 9 1 |
| 64.97 | 16 | 3 3 1 |
| 72.43 | 11 | 2 6 2 |

```
data_ErCd2Hg3
_symmetry_space_group_name_H-M 'P m m n'
_symmetry_Int_Tables_number 59
_cell_length_a 4.8616
_cell_length_b 15.1218
_cell_length_c 3.9177
_cell_angle_alpha 90.00
_cell_angle_beta 90.00
_cell_angle_gamma 90.00
loop_
_symmetry_equiv_pos_as_xyz
'x,y,z'
'-x,-y,-z'
'-x+1/2,-y+1/2,z'
'x+1/2,y+1/2,-z'
'x+1/2,-y,-z'
'-x+1/2,y,z'
'-x,y+1/2,-z'
'x,-y+1/2,z'
loop_
_atom_site_label
_atom_site_type_symbol
_atom_site_fract_x
_atom_site_fract_y
_atom_site_fract_z
Er1 Er 0.2500 0.2500 0.0013
Cd1 Cd 0.2500 0.5769 0.9985
Hg1 Hg 0.2500 0.0894 0.5011
Hg2 Hg 0.2500 0.7500 0.4984
```

***

Record 4
This entry pairs a crystal structure of ErCdHg4 with its theoretical powder XRD pattern. Radiation: a wavelength of 1.5418 Å. Structure: a structure optimized by DFT (GGA-PBE).
Neutral-atom scattering factors, no anomalous dispersion.

Principal peaks in the range 10 to 80 degrees two-theta, low angle first:
| 2θ/deg | intensity | h k l |
| --- | --- | --- |
| 27.37 | 16 | 1 0 1 |
| 34.06 | 100 | 2 0 -2 |
| 34.70 | 33 | 1 2 1 |
| 36.03 | 69 | 1 3 -1 |
| 45.80 | 8 | 0 3 2 |
| 49.37 | 12 | 1 2 -3 |
| 49.49 | 12 | 3 2 -1 |
| 56.48 | 10 | 2 0 2 |
| 62.27 | 14 | 3 3 -3 |
| 68.84 | 21 | 3 3 1 |

```
data_ErCdHg4
_symmetry_space_group_name_H-M 'P 1 21/m 1'
_symmetry_Int_Tables_number 11
_cell_length_a 6.1811
_cell_length_b 8.4922
_cell_length_c 6.1968
_cell_angle_alpha 90.00
_cell_angle_beta 116.46
_cell_angle_gamma 90.00
loop_
_symmetry_equiv_pos_as_xyz
'x,y,z'
'-x,-y,-z'
'-x,y+1/2,-z'
'x,-y+1/2,z'
loop_
_atom_site_label
_atom_site_type_symbol
_atom_site_fract_x
_atom_site_fract_y
_atom_site_fract_z
Er1 Er 0.1188 0.2500 0.3818
Cd1 Cd 0.3896 0.7500 0.1099
Hg1 Hg 0.1187 0.0799 0.8721
Hg2 Hg 0.3724 0.5798 0.6193
```

***

Record 5
This entry pairs a crystal structure of ErCd7Hg4 with its theoretical powder XRD pattern. Radiation: a wavelength of 1.5418 Å. Structure: a structure optimized by DFT (GGA-PBE).
Neutral-atom scattering factors, no anomalous dispersion.

Principal peaks in the range 10 to 80 degrees two-theta, low angle first:
| 2θ/deg | intensity | h k l |
| --- | --- | --- |
| 28.92 | 82 | 0 2 0 |
| 32.98 | 59 | 0 0 3 |
| 33.08 | 56 | 4 0 -3 |
| 33.66 | 54 | 4 0 0 |
| 44.46 | 100 | 0 2 3 |
| 44.95 | 48 | 4 2 0 |
| 59.90 | 20 | 0 4 0 |
| 66.64 | 15 | 4 2 -6 |
| 67.67 | 14 | 4 2 3 |
| 70.15 | 25 | 0 4 3 |

```
data_ErCd7Hg4
_symmetry_space_group_name_H-M 'C 1 2/m 1'
_symmetry_Int_Tables_number 12
_cell_length_a 12.3586
_cell_length_b 6.1749
_cell_length_c 9.4537
_cell_angle_alpha 90.00
_cell_angle_beta 120.47
_cell_angle_gamma 90.00
loop_
_symmetry_equiv_pos_as_xyz
'x,y,z'
'-x,-y,-z'
'-x,y,-z'
'x,-y,z'
'x+1/2,y+1/2,z'
'-x+1/2,-y+1/2,-z'
'-x+1/2,y+1/2,-z'
'x+1/2,-y+1/2,z'
loop_
_atom_site_label
_atom_site_type_symbol
_atom_site_fract_x
_atom_site_fract_y
_atom_site_fract_z
Er1 Er 0.0000 0.0000 0.0000
Cd1 Cd 0.0000 0.5000 0.0000
Cd2 Cd 0.0035 0.0000 0.3371
Cd3 Cd 0.2430 0.5000 0.9951
Cd4 Cd 0.2448 0.5000 0.6625
Hg1 Hg 0.0053 0.5000 0.3331
Hg2 Hg 0.2451 0.0000 0.6715
```

***

Record 6
This entry pairs a crystal structure of ErCd11Hg with its theoretical powder XRD pattern. Radiation: a wavelength of 1.5418 Å. Structure: a structure optimized by DFT (GGA-PBE).
Neutral-atom scattering factors, no anomalous dispersion.

Principal peaks in the range 10 to 80 degrees two-theta, low angle first:
| 2θ/deg | intensity | h k l |
| --- | --- | --- |
| 30.74 | 39 | 1 3 1 |
| 34.69 | 58 | 2 2 0 |
| 34.87 | 60 | 2 2 -2 |
| 35.70 | 23 | 1 1 2 |
| 35.90 | 100 | 1 5 -1 |
| 36.19 | 82 | 0 4 2 |
| 39.18 | 24 | 2 0 1 |
| 39.39 | 45 | 2 4 -1 |
| 39.51 | 21 | 2 0 -3 |
| 40.64 | 48 | 0 2 3 |

```
data_ErCd11Hg
_symmetry_space_group_name_H-M 'C 1 2/m 1'
_symmetry_Int_Tables_number 12
_cell_length_a 6.0376
_cell_length_b 14.0213
_cell_length_c 7.6274
_cell_angle_alpha 90.00
_cell_angle_beta 112.85
_cell_angle_gamma 90.00
loop_
_symmetry_equiv_pos_as_xyz
'x,y,z'
'-x,-y,-z'
'-x,y,-z'
'x,-y,z'
'x+1/2,y+1/2,z'
'-x+1/2,-y+1/2,-z'
'-x+1/2,y+1/2,-z'
'x+1/2,-y+1/2,z'
loop_
_atom_site_label
_atom_site_type_symbol
_atom_site_fract_x
_atom_site_fract_y
_atom_site_fract_z
Er1 Er 0.0000 0.0000 0.0000
Cd1 Cd 0.0000 0.0000 0.5000
Cd2 Cd 0.1096 0.3938 0.2116
Cd3 Cd 0.1723 0.1754 0.3490
Cd4 Cd 0.2500 0.2500 0.0000
Hg1 Hg 0.0000 0.5000 0.5000
```

***

Record 7
This entry pairs a crystal structure of ErCd4Hg7 with its theoretical powder XRD pattern. Radiation: a wavelength of 1.5418 Å. Structure: a structure optimized by DFT (GGA-PBE).
Neutral-atom scattering factors, no anomalous dispersion.

Principal peaks in the range 10 to 80 degrees two-theta, low angle first:
| 2θ/deg | intensity | h k l |
| --- | --- | --- |
| 28.92 | 100 | 0 2 0 |
| 33.13 | 69 | 4 0 -3 |
| 33.34 | 69 | 0 0 3 |
| 33.50 | 67 | 4 0 0 |
| 44.54 | 61 | 4 2 -3 |
| 44.71 | 60 | 0 2 3 |
| 44.83 | 60 | 4 2 0 |
| 59.93 | 26 | 0 4 0 |
| 67.23 | 18 | 4 2 -6 |
| 70.39 | 39 | 4 4 0 |

```
data_ErCd4Hg7
_symmetry_space_group_name_H-M 'C 1 2/m 1'
_symmetry_Int_Tables_number 12
_cell_length_a 12.4270
_cell_length_b 6.1737
_cell_length_c 9.3628
_cell_angle_alpha 90.00
_cell_angle_beta 120.57
_cell_angle_gamma 90.00
loop_
_symmetry_equiv_pos_as_xyz
'x,y,z'
'-x,-y,-z'
'-x,y,-z'
'x,-y,z'
'x+1/2,y+1/2,z'
'-x+1/2,-y+1/2,-z'
'-x+1/2,y+1/2,-z'
'x+1/2,-y+1/2,z'
loop_
_atom_site_label
_atom_site_type_symbol
_atom_site_fract_x
_atom_site_fract_y
_atom_site_fract_z
Er1 Er 0.0000 0.0000 0.0000
Cd1 Cd 0.0031 0.5000 0.3327
Cd2 Cd 0.2478 0.5000 0.3270
Hg1 Hg 0.0000 0.5000 0.0000
Hg2 Hg 0.0021 0.0000 0.3377
Hg3 Hg 0.2432 0.5000 0.6593
Hg4 Hg 0.2496 0.0000 0.0019
```

***

Record 8
This entry pairs a crystal structure of Er2Cd5Hg12 with its theoretical powder XRD pattern. Radiation: a wavelength of 1.5418 Å. Structure: a structure optimized by DFT (GGA-PBE).
Neutral-atom scattering factors, no anomalous dispersion.

Principal peaks in the range 10 to 80 degrees two-theta, low angle first:
| 2θ/deg | intensity | h k l |
| --- | --- | --- |
| 28.74 | 24 | 5 1 -1 |
| 31.94 | 15 | 6 0 -1 |
| 33.38 | 27 | 2 0 -2 |
| 34.21 | 54 | 0 4 0 |
| 34.75 | 18 | 1 1 -2 |
| 35.56 | 100 | 4 2 1 |
| 36.35 | 48 | 6 2 -1 |
| 37.65 | 25 | 2 2 -2 |
| 48.54 | 16 | 2 4 -2 |
| 62.13 | 27 | 4 6 1 |

```
data_Er2Cd5Hg12
_symmetry_space_group_name_H-M 'C 1 2/m 1'
_symmetry_Int_Tables_number 12
_cell_length_a 17.4284
_cell_length_b 10.4852
_cell_length_c 5.3714
_cell_angle_alpha 90.00
_cell_angle_beta 106.17
_cell_angle_gamma 90.00
loop_
_symmetry_equiv_pos_as_xyz
'x,y,z'
'-x,-y,-z'
'-x,y,-z'
'x,-y,z'
'x+1/2,y+1/2,z'
'-x+1/2,-y+1/2,-z'
'-x+1/2,y+1/2,-z'
'x+1/2,-y+1/2,z'
loop_
_atom_site_label
_atom_site_type_symbol
_atom_site_fract_x
_atom_site_fract_y
_atom_site_fract_z
Er1 Er 0.0000 0.2357 0.0000
Cd1 Cd 0.0000 0.0000 0.5000
Cd2 Cd 0.1991 0.5000 0.8031
Cd3 Cd 0.2027 0.0000 0.6163
Hg1 Hg 0.0535 0.5000 0.2837
Hg2 Hg 0.1007 0.2533 0.6061
Hg3 Hg 0.1108 0.0000 0.0597
Hg4 Hg 0.1903 0.2772 0.1932
```

***

Record 9
This entry pairs a crystal structure of ErCdInHg with its theoretical powder XRD pattern. Radiation: a wavelength of 1.5418 Å. Structure: a structure optimized by DFT (GGA-PBE).
Neutral-atom scattering factors, no anomalous dispersion.

Principal peaks in the range 10 to 80 degrees two-theta, low angle first:
| 2θ/deg | intensity | h k l |
| --- | --- | --- |
| 18.68 | 5 | 0 0 1 |
| 28.17 | 4 | 1 1 0 |
| 34.02 | 100 | 1 1 1 |
| 37.91 | 37 | 0 2 0 |
| 42.49 | 14 | 2 0 0 |
| 54.69 | 13 | 0 2 2 |
| 58.23 | 21 | 2 2 0 |
| 65.99 | 29 | 1 3 1 |
| 71.61 | 12 | 2 2 2 |
| 72.32 | 11 | 3 1 1 |

```
data_ErCdInHg
_symmetry_space_group_name_H-M 'P m m m'
_symmetry_Int_Tables_number 47
_cell_length_a 4.2554
_cell_length_b 4.7443
_cell_length_c 4.7501
_cell_angle_alpha 90.00
_cell_angle_beta 90.00
_cell_angle_gamma 90.00
loop_
_symmetry_equiv_pos_as_xyz
'x,y,z'
'-x,-y,-z'
'-x,-y,z'
'x,y,-z'
'x,-y,-z'
'-x,y,z'
'-x,y,-z'
'x,-y,z'
loop_
_atom_site_label
_atom_site_type_symbol
_atom_site_fract_x
_atom_site_fract_y
_atom_site_fract_z
Er1 Er 0.0000 0.0000 0.0000
Cd1 Cd 0.0000 0.5000 0.5000
In1 In 0.5000 0.0000 0.5000
Hg1 Hg 0.5000 0.5000 0.0000
```

***

Record 10
This entry pairs a crystal structure of ErCdHgPb with its theoretical powder XRD pattern. Radiation: a wavelength of 1.5418 Å. Structure: a structure optimized by DFT (GGA-PBE).
Neutral-atom scattering factors, no anomalous dispersion.

Principal peaks in the range 10 to 80 degrees two-theta, low angle first:
| 2θ/deg | intensity | h k l |
| --- | --- | --- |
| 33.52 | 100 | 1 1 1 |
| 36.73 | 20 | 0 0 2 |
| 38.77 | 17 | 0 2 0 |
| 41.08 | 14 | 2 0 0 |
| 54.47 | 13 | 0 2 2 |
| 56.27 | 11 | 2 0 2 |
| 64.11 | 16 | 1 1 3 |
| 66.85 | 14 | 1 3 1 |
| 70.04 | 12 | 3 1 1 |
| 70.43 | 12 | 2 2 2 |

```
data_ErCdHgPb
_symmetry_space_group_name_H-M 'P m m m'
_symmetry_Int_Tables_number 47
_cell_length_a 4.3943
_cell_length_b 4.6457
_cell_length_c 4.8940
_cell_angle_alpha 90.00
_cell_angle_beta 90.00
_cell_angle_gamma 90.00
loop_
_symmetry_equiv_pos_as_xyz
'x,y,z'
'-x,-y,-z'
'-x,-y,z'
'x,y,-z'
'x,-y,-z'
'-x,y,z'
'-x,y,-z'
'x,-y,z'
loop_
_atom_site_label
_atom_site_type_symbol
_atom_site_fract_x
_atom_site_fract_y
_atom_site_fract_z
Er1 Er 0.0000 0.0000 0.0000
Cd1 Cd 0.0000 0.5000 0.5000
Hg1 Hg 0.5000 0.0000 0.5000
Pb1 Pb 0.5000 0.5000 0.0000
```

***

Record 11
This entry pairs a crystal structure of Er2ThCdHg4 with its theoretical powder XRD pattern. Radiation: a wavelength of 1.5418 Å. Structure: a structure optimized by DFT (GGA-PBE).
Neutral-atom scattering factors, no anomalous dispersion.

Principal peaks in the range 10 to 80 degrees two-theta, low angle first:
| 2θ/deg | intensity | h k l |
| --- | --- | --- |
| 25.97 | 6 | 0 1 5 |
| 33.06 | 100 | 0 1 8 |
| 35.47 | 90 | 1 1 0 |
| 47.63 | 4 | 1 0 13 |
| 49.27 | 33 | 2 0 8 |
| 57.46 | 16 | 1 0 16 |
| 62.17 | 33 | 1 2 8 |
| 63.70 | 17 | 3 0 0 |
| 69.38 | 9 | 0 2 16 |
| 75.08 | 10 | 2 2 0 |

```
data_Er2ThCdHg4
_symmetry_space_group_name_H-M 'R -3 m'
_symmetry_Int_Tables_number 166
_symmetry_space_group_name_Hall '-R 3 2"'
_cell_length_a 5.0610
_cell_length_b 5.0610
_cell_length_c 27.5718
_cell_angle_alpha 90.00
_cell_angle_beta 90.00
_cell_angle_gamma 120.00
loop_
_atom_site_label
_atom_site_type_symbol
_atom_site_fract_x
_atom_site_fract_y
_atom_site_fract_z
Er1 Er 0.0000 0.0000 0.2401
Th1 Th 0.0000 0.0000 0.0000
Cd1 Cd 0.0000 0.0000 0.5000
Hg1 Hg 0.0000 0.0000 0.1255
Hg2 Hg 0.0000 0.0000 0.3811
```

***

Record 12
This entry pairs a crystal structure of Ho12Er6Cd with its theoretical powder XRD pattern. Radiation: a wavelength of 1.5418 Å. Structure: a structure optimized by DFT (GGA-PBE).
Neutral-atom scattering factors, no anomalous dispersion.

Principal peaks in the range 10 to 80 degrees two-theta, low angle first:
| 2θ/deg | intensity | h k l |
| --- | --- | --- |
| 23.94 | 12 | 2 1 1 |
| 31.44 | 41 | 0 1 5 |
| 32.04 | 28 | 0 3 3 |
| 32.34 | 100 | 1 3 1 |
| 33.61 | 70 | 3 -1 4 |
| 34.04 | 31 | 4 -1 2 |
| 35.60 | 18 | 2 2 3 |
| 46.00 | 13 | 5 -2 4 |
| 56.54 | 18 | 5 2 0 |
| 59.85 | 11 | 5 2 3 |

```
data_Ho12Er6Cd
_symmetry_space_group_name_H-M 'R -3'
_symmetry_Int_Tables_number 148
_symmetry_space_group_name_Hall '-R 3'
_cell_length_a 11.7318
_cell_length_b 11.7318
_cell_length_c 14.8220
_cell_angle_alpha 90.00
_cell_angle_beta 90.00
_cell_angle_gamma 120.00
loop_
_atom_site_label
_atom_site_type_symbol
_atom_site_fract_x
_atom_site_fract_y
_atom_site_fract_z
Ho1 Ho 0.0075 0.1785 0.3143
Ho2 Ho 0.0469 0.8500 0.9151
Er1 Er 0.0213 0.4289 0.1901
Cd1 Cd 0.0000 0.0000 0.5000
```